(1)
Er6Cu5: theoretical powder XRD pattern (Cu Kα, 1.54184 Å), based on DFT lattice parameters and positions (PBE).

Peak list (10 most intense, 2θ = 10–90°, in order of falling intensity)
Position (°2θ)	Rel. int.
37.2	1000
26.1	291
67.0	232
53.6	172
67.1	114
60.6	100
46.0	87
79.2	72
85.1	29
85.0	25

Atomic structure:
Unit cell a=8.3697 b=8.3697 c=8.3697 alpha=146.38 beta=131.77 gamma=60.08
Fractional coordinates of all 11 atoms:
Er (0.0853, 0.3351, 0.7502)
Er (0.2487, 0.0000, 0.2487)
Er (0.4152, 0.6649, 0.7502)
Er (0.5848, 0.3351, 0.2498)
Er (0.7513, 0.0000, 0.7513)
Er (0.9147, 0.6649, 0.2498)
Cu (0.0000, 0.5000, 0.5000)
Cu (0.1689, 0.1689, 0.0000)
Cu (0.3289, 0.8289, 0.5000)
Cu (0.6711, 0.1711, 0.5000)
Cu (0.8311, 0.8311, 0.0000)



(2)
ErCu6: theoretical powder XRD pattern (Cu Kα, 1.54184 Å), based on DFT lattice parameters and positions (PBE).

Peak list (10 most intense, 2θ = 10–90°, in order of falling intensity)
Position (°2θ)	Rel. int.
34.5	1000
53.8	546
28.0	432
57.8	194
82.9	150
65.5	148
69.1	125
86.3	118
49.5	75
19.7	13

Atomic structure:
Unit cell a=5.5224 b=5.5224 c=5.5224 alpha=109.47 beta=109.47 gamma=109.47
Fractional coordinates of all 7 atoms:
Er (0.0000, 0.0000, 0.0000)
Cu (0.2500, 0.5000, 0.7500)
Cu (0.2500, 0.7500, 0.5000)
Cu (0.5000, 0.2500, 0.7500)
Cu (0.5000, 0.7500, 0.2500)
Cu (0.7500, 0.2500, 0.5000)
Cu (0.7500, 0.5000, 0.2500)